(1)
Computed PXRD pattern
Compound: Sc2Cd3Ni2
Radiation: Cu Ka
Structure: the PBE geometry in Alexandria
Peak positions follow from Bragg's law for the DFT cell and can differ from measured ones.

Main lines, low angle first (2θ = 10–80°):
- 31.92 deg, I 32
- 35.88 deg, I 100
- 37.42 deg, I 62
- 38.56 deg, I 56
- 43.83 deg, I 10
- 47.43 deg, I 13
- 47.63 deg, I 23
- 54.68 deg, I 15
- 61.58 deg, I 14
- 62.09 deg, I 26
- 68.89 deg, I 19
- 75.40 deg, I 11

Crystal structure
```
14
Lattice="3.818 0.000 0.000 0.000 20.654 0.000 0.000 0.000 3.357" Properties=species:S:1:pos:R:3 pbc="T T T"
Sc 0.000 3.663 0.000
Sc 0.000 16.991 0.000
Sc 1.909 6.664 0.000
Sc 1.909 13.989 0.000
Cd 0.000 0.000 0.000
Cd 0.000 8.606 1.679
Cd 0.000 12.047 1.679
Cd 1.909 1.721 1.679
Cd 1.909 10.327 0.000
Cd 1.909 18.933 1.679
Ni 0.000 5.915 1.679
Ni 0.000 14.739 1.679
Ni 1.909 4.412 1.679
Ni 1.909 16.242 1.679
```

***

(2)
Computed PXRD pattern
Compound: Sc3CdNi8
Radiation: Cu Ka
Structure: the PBE geometry in Alexandria
Peak positions follow from Bragg's law for the DFT cell and can differ from measured ones.

Main lines, low angle first (2θ = 10–80°):
- 11.08 deg, I 5
- 22.30 deg, I 10
- 36.81 deg, I 26
- 43.46 deg, I 100
- 45.42 deg, I 11
- 45.52 deg, I 31
- 53.04 deg, I 5
- 66.34 deg, I 6
- 70.83 deg, I 7
- 70.93 deg, I 21
- 78.24 deg, I 12
- 78.39 deg, I 12

Crystal structure
```
12
Lattice="2.440 1.409 7.988 -2.440 1.409 7.988 0.000 -2.817 7.988" Properties=species:S:1:pos:R:3 pbc="T T T"
Sc 0.000 0.000 0.000
Sc 0.000 0.000 3.057
Sc 0.000 0.000 14.858
Cd 0.000 0.000 11.928
Ni -1.222 -0.706 9.434
Ni 0.000 -1.420 5.498
Ni -1.230 0.710 5.498
Ni 0.000 0.000 7.472
Ni 1.222 -0.706 9.434
Ni 0.000 1.411 9.434
Ni 1.230 0.710 5.498
Ni 0.000 0.000 19.446
```

***

(3)
Computed PXRD pattern
Compound: TbScCdNi
Radiation: Cu Ka
Structure: the PBE geometry in Alexandria
Peak positions follow from Bragg's law for the DFT cell and can differ from measured ones.

Main lines, low angle first (2θ = 10–80°):
- 11.87 deg, I 15
- 29.24 deg, I 35
- 36.07 deg, I 100
- 38.01 deg, I 45
- 48.86 deg, I 5
- 53.45 deg, I 14
- 54.85 deg, I 15
- 63.36 deg, I 8
- 63.53 deg, I 10
- 67.42 deg, I 34
- 68.94 deg, I 9
- 76.49 deg, I 6

Crystal structure
```
4
Lattice="3.348 0.000 0.000 0.000 3.348 0.000 0.000 0.000 7.456" Properties=species:S:1:pos:R:3 pbc="T T T"
Tb 0.000 0.000 0.000
Sc 0.000 0.000 4.301
Cd 1.674 1.674 2.316
Ni 1.674 1.674 5.652
```

***

(4)
Computed PXRD pattern
Compound: Sm5CdNi2
Radiation: Cu Ka
Structure: the PBE geometry in Alexandria
Peak positions follow from Bragg's law for the DFT cell and can differ from measured ones.

Main lines, low angle first (2θ = 10–80°):
- 26.07 deg, I 34
- 31.23 deg, I 32
- 32.01 deg, I 16
- 32.34 deg, I 100
- 35.20 deg, I 48
- 35.91 deg, I 71
- 42.44 deg, I 18
- 53.91 deg, I 13
- 54.71 deg, I 12
- 56.57 deg, I 28
- 67.13 deg, I 14
- 67.51 deg, I 19

Crystal structure
```
16
Lattice="-3.954 3.954 6.670 3.954 -3.954 6.670 3.954 3.954 -6.670" Properties=species:S:1:pos:R:3 pbc="T T T"
Sm 0.000 0.000 0.000
Sm 5.220 1.266 -1.806
Sm 1.266 2.688 -1.806
Sm 5.220 1.266 1.806
Sm 1.266 2.688 1.806
Sm 0.000 0.000 6.670
Sm 2.688 1.266 4.864
Sm -1.266 2.688 4.864
Sm 2.688 1.266 8.476
Sm -1.266 2.688 8.476
Cd 0.000 0.000 3.335
Cd 0.000 0.000 10.005
Ni 2.985 0.968 0.000
Ni 2.985 -0.968 6.670
Ni 0.968 4.922 0.000
Ni 0.968 2.985 6.670
```

***

(5)
Computed PXRD pattern
Compound: Sm12CdNi6
Radiation: Cu Ka
Structure: the PBE geometry in Alexandria
Peak positions follow from Bragg's law for the DFT cell and can differ from measured ones.

Main lines, low angle first (2θ = 10–80°):
- 25.40 deg, I 7
- 28.45 deg, I 42
- 31.23 deg, I 37
- 33.81 deg, I 100
- 36.22 deg, I 14
- 38.50 deg, I 10
- 46.69 deg, I 21
- 53.89 deg, I 34
- 55.59 deg, I 14
- 57.25 deg, I 34
- 66.67 deg, I 17
- 69.65 deg, I 6

Crystal structure
```
19
Lattice="-4.960 4.960 4.960 4.960 -4.960 4.960 4.960 4.960 -4.960" Properties=species:S:1:pos:R:3 pbc="T T T"
Sm 4.960 3.112 -1.933
Sm 3.027 0.000 1.848
Sm 6.893 0.000 1.848
Sm 1.848 3.027 0.000
Sm 3.112 -1.933 4.960
Sm 0.000 1.848 3.027
Sm 4.960 3.112 1.933
Sm 1.848 6.893 0.000
Sm 3.112 1.933 4.960
Sm -1.933 4.960 3.112
Sm 1.933 4.960 3.112
Sm 0.000 1.848 6.893
Cd 0.000 0.000 0.000
Ni 4.960 1.209 0.000
Ni 4.960 0.000 3.751
Ni 3.751 4.960 0.000
Ni 1.209 0.000 4.960
Ni 0.000 4.960 1.209
Ni 0.000 3.751 4.960
```

***

(6)
Computed PXRD pattern
Compound: SmCd9Ni2
Radiation: Cu Ka
Structure: the PBE geometry in Alexandria
Peak positions follow from Bragg's law for the DFT cell and can differ from measured ones.

Main lines, low angle first (2θ = 10–80°):
- 26.01 deg, I 12
- 30.30 deg, I 19
- 34.43 deg, I 100
- 34.59 deg, I 63
- 37.25 deg, I 27
- 39.48 deg, I 15
- 40.48 deg, I 17
- 40.77 deg, I 73
- 42.57 deg, I 23
- 61.89 deg, I 26
- 69.36 deg, I 14
- 72.98 deg, I 14

Crystal structure
```
24
Lattice="-5.798 5.798 3.702 5.798 -5.798 3.702 5.798 5.798 -3.702" Properties=species:S:1:pos:R:3 pbc="T T T"
Sm 5.798 2.899 0.925
Sm 0.000 2.899 2.776
Cd 5.798 -2.899 2.776
Cd 4.394 -0.626 1.349
Cd 7.201 -0.626 1.349
Cd 2.272 1.495 0.502
Cd 9.323 1.495 0.502
Cd 4.394 5.171 -1.349
Cd 1.404 -0.626 2.353
Cd 2.272 4.302 0.502
Cd 3.525 -1.495 4.204
Cd 2.272 7.293 -0.502
Cd 3.525 1.495 3.200
Cd 4.394 6.424 1.349
Cd 1.404 0.626 5.050
Cd -3.525 4.302 3.200
Cd 3.525 4.302 3.200
Cd -1.404 6.424 2.353
Cd 1.404 6.424 2.353
Cd 0.000 8.697 0.925
Ni 0.000 0.000 0.000
Ni 2.899 2.899 -1.851
Ni 2.899 -2.899 1.851
Ni 0.000 5.798 0.000
```

***

(7)
Computed PXRD pattern
Compound: SmTmCdNi
Radiation: Cu Ka
Structure: the PBE geometry in Alexandria
Peak positions follow from Bragg's law for the DFT cell and can differ from measured ones.

Main lines, low angle first (2θ = 10–80°):
- 21.45 deg, I 3
- 24.82 deg, I 9
- 35.38 deg, I 100
- 41.75 deg, I 1
- 43.70 deg, I 3
- 50.90 deg, I 18
- 55.85 deg, I 1
- 57.43 deg, I 4
- 63.52 deg, I 36
- 74.86 deg, I 11

Crystal structure
```
16
Lattice="7.175 0.000 0.000 0.000 7.175 0.000 0.000 0.000 7.175" Properties=species:S:1:pos:R:3 pbc="T T T"
Sm 0.000 0.000 0.000
Sm 0.000 3.588 3.588
Sm 3.588 0.000 3.588
Sm 3.588 3.588 0.000
Tm 0.000 0.000 3.588
Tm 0.000 3.588 0.000
Tm 3.588 0.000 0.000
Tm 3.588 3.588 3.588
Cd 1.794 1.794 5.382
Cd 1.794 5.382 1.794
Cd 5.382 1.794 1.794
Cd 5.382 5.382 5.382
Ni 1.794 1.794 1.794
Ni 1.794 5.382 5.382
Ni 5.382 1.794 5.382
Ni 5.382 5.382 1.794
```

***

(8)
Computed PXRD pattern
Compound: CdNi2Sn2
Radiation: Cu Ka
Structure: the PBE geometry in Alexandria
Peak positions follow from Bragg's law for the DFT cell and can differ from measured ones.

Main lines, low angle first (2θ = 10–80°):
- 28.54 deg, I 42
- 40.02 deg, I 27
- 40.79 deg, I 100
- 41.62 deg, I 24
- 49.86 deg, I 6
- 59.00 deg, I 8
- 59.11 deg, I 17
- 66.87 deg, I 11
- 73.21 deg, I 18
- 73.69 deg, I 8
- 74.78 deg, I 8
- 75.39 deg, I 16

Crystal structure
```
10
Lattice="4.340 0.000 0.000 0.000 4.506 0.000 0.000 0.000 9.393" Properties=species:S:1:pos:R:3 pbc="T T T"
Cd 1.085 1.127 1.645
Cd 3.255 3.380 7.748
Ni 1.085 3.380 0.107
Ni 1.085 3.380 3.178
Ni 3.255 1.127 6.215
Ni 3.255 1.127 9.286
Sn 1.085 1.127 4.635
Sn 1.085 1.127 7.831
Sn 3.255 3.380 1.562
Sn 3.255 3.380 4.758
```

***

(9)
Computed PXRD pattern
Compound: Sr3Cd9Ni2
Radiation: Cu Ka
Structure: the PBE geometry in Alexandria
Peak positions follow from Bragg's law for the DFT cell and can differ from measured ones.

Main lines, low angle first (2θ = 10–80°):
- 27.13 deg, I 31
- 30.92 deg, I 38
- 31.25 deg, I 60
- 31.68 deg, I 28
- 31.89 deg, I 92
- 33.31 deg, I 20
- 33.94 deg, I 30
- 38.00 deg, I 100
- 39.01 deg, I 39
- 41.09 deg, I 44
- 41.60 deg, I 37
- 58.54 deg, I 21

Crystal structure
```
14
Lattice="-2.366 5.391 6.853 2.366 -5.391 6.853 2.366 5.391 -6.853" Properties=species:S:1:pos:R:3 pbc="T T T"
Sr 0.000 0.000 0.000
Sr 0.000 0.000 4.314
Sr 0.000 0.000 9.393
Cd 2.366 -1.520 2.208
Cd 2.366 -2.366 5.260
Cd 2.366 1.520 2.208
Cd 0.000 3.025 1.593
Cd 0.000 5.391 0.000
Cd 2.366 2.366 5.260
Cd 0.000 3.871 4.646
Cd 0.000 7.757 1.593
Cd 0.000 6.911 4.646
Ni 2.366 3.175 0.000
Ni 0.000 2.216 6.853
```

***

(10)
Computed PXRD pattern
Compound: Tb7Cd2Ni2
Radiation: Cu Ka
Structure: the PBE geometry in Alexandria
Peak positions follow from Bragg's law for the DFT cell and can differ from measured ones.

Main lines, low angle first (2θ = 10–80°):
- 25.94 deg, I 24
- 27.83 deg, I 78
- 28.92 deg, I 56
- 30.08 deg, I 31
- 32.38 deg, I 70
- 37.10 deg, I 45
- 37.95 deg, I 100
- 46.13 deg, I 18
- 51.92 deg, I 20
- 59.92 deg, I 18
- 61.47 deg, I 19
- 62.53 deg, I 20

Crystal structure
```
11
Lattice="3.935 -5.530 0.000 3.935 5.530 0.000 0.000 0.000 7.045" Properties=species:S:1:pos:R:3 pbc="T T T"
Tb 0.000 0.000 0.000
Tb 1.968 2.765 1.735
Tb 1.968 2.765 5.309
Tb 1.968 -2.765 1.735
Tb 1.968 -2.765 5.309
Tb 3.935 0.000 1.679
Tb 3.935 0.000 5.366
Cd 1.383 0.000 3.522
Cd 6.487 0.000 3.522
Ni 3.935 2.267 0.000
Ni 3.935 -2.267 0.000
```

***

(11)
Computed PXRD pattern
Compound: TbCdNi5
Radiation: Cu Ka
Structure: the PBE geometry in Alexandria
Peak positions follow from Bragg's law for the DFT cell and can differ from measured ones.

Main lines, low angle first (2θ = 10–80°):
- 31.94 deg, I 22
- 33.85 deg, I 17
- 36.59 deg, I 23
- 37.14 deg, I 22
- 37.60 deg, I 15
- 39.14 deg, I 100
- 44.47 deg, I 19
- 45.39 deg, I 14
- 45.71 deg, I 36
- 47.28 deg, I 24
- 68.28 deg, I 18
- 72.55 deg, I 13

Crystal structure
```
28
Lattice="8.103 0.000 0.000 0.000 4.842 0.000 0.000 0.000 10.309" Properties=species:S:1:pos:R:3 pbc="T T T"
Tb 2.010 1.210 0.626
Tb 2.041 3.631 5.780
Tb 6.061 1.210 4.529
Tb 6.093 3.631 9.683
Cd 1.105 3.631 8.904
Cd 2.947 1.210 3.750
Cd 5.156 3.631 6.559
Cd 6.998 1.210 1.405
Ni 0.385 3.631 1.132
Ni 0.551 0.000 3.226
Ni 0.551 2.421 3.226
Ni 0.657 1.210 5.326
Ni 1.527 1.210 7.623
Ni 2.525 3.631 2.468
Ni 3.395 3.631 0.171
Ni 3.500 4.842 8.381
Ni 3.500 2.421 8.381
Ni 3.667 1.210 6.287
Ni 4.436 3.631 4.022
Ni 4.603 0.000 1.928
Ni 4.603 2.421 1.928
Ni 4.708 1.210 10.138
Ni 5.578 1.210 7.841
Ni 6.576 3.631 2.687
Ni 7.446 3.631 4.983
Ni 7.551 4.842 7.083
Ni 7.551 2.421 7.083
Ni 7.718 1.210 9.177
```

***

(12)
Computed PXRD pattern
Compound: Cd2TcNi
Radiation: Cu Ka
Structure: the PBE geometry in Alexandria
Peak positions follow from Bragg's law for the DFT cell and can differ from measured ones.

Main lines, low angle first (2θ = 10–80°):
- 28.08 deg, I 18
- 37.74 deg, I 23
- 38.56 deg, I 100
- 39.75 deg, I 10
- 44.58 deg, I 56
- 55.97 deg, I 11
- 64.33 deg, I 8
- 65.44 deg, I 21
- 67.34 deg, I 8
- 72.67 deg, I 7
- 78.09 deg, I 15
- 78.60 deg, I 11

Crystal structure
```
12
Lattice="2.852 0.000 0.000 -1.426 2.470 0.000 0.000 0.000 28.601" Properties=species:S:1:pos:R:3 pbc="T T T"
Cd 0.000 0.000 0.000
Cd 0.000 0.000 6.641
Cd 0.000 1.647 19.067
Cd 0.000 1.647 25.708
Cd 1.426 0.823 9.534
Cd 1.426 0.823 16.174
Tc 0.000 0.000 21.544
Tc 0.000 1.647 12.010
Tc 1.426 0.823 2.477
Ni 0.000 0.000 13.906
Ni 0.000 1.647 4.372
Ni 1.426 0.823 23.440
```